[1]
Starting from a DFT-relaxed cell (GGA-PBE, Alexandria), the powder X-ray diffraction pattern of Cu2Se was simulated for Cu Kα (λ = 1.5418 Å).

Principal peaks in the range 2θ from 10° to 90°, in order of falling intensity:
- 44.48 deg, d = 2.037 Å, I = 100
- 25.37 deg, d = 3.511 Å, I = 77
- 42.46 deg, d = 2.129 Å, I = 70
- 49.81 deg, d = 1.831 Å, I = 57
- 42.63 deg, d = 2.121 Å, I = 45
- 26.04 deg, d = 3.422 Å, I = 26
- 51.46 deg, d = 1.776 Å, I = 25
- 29.73 deg, d = 3.005 Å, I = 24
- 50.11 deg, d = 1.821 Å, I = 23
- 51.16 deg, d = 1.785 Å, I = 20
- 45.55 deg, d = 1.992 Å, I = 19
- 31.10 deg, d = 2.876 Å, I = 19

Atomic structure:
Unit cell a=4.2478 b=4.2478 c=13.6836 alpha=101.80 beta=101.80 gamma=60.16
Sites, in units of the cell vectors:
Cu: 0.0000 0.0000 0.0000
Cu: 0.0001 0.0001 0.4105
Cu: 0.2698 0.2698 0.1566
Cu: 0.4285 0.4285 0.8805
Cu: 0.4620 0.4620 0.7006
Cu: 0.4864 0.4864 0.5112
Cu: 0.7310 0.7310 0.2551
Cu: 0.7885 0.7885 0.6692
Se: 0.0663 0.0663 0.5996
Se: 0.2748 0.2748 0.3439
Se: 0.5373 0.5373 0.0866
Se: 0.7496 0.7496 0.8422

[2]
Starting from a DFT-relaxed cell (GGA-PBE, Alexandria), the powder X-ray diffraction pattern of CuSe was simulated for Cu Kα (λ = 1.5418 Å).

Principal peaks in the range 2θ from 10° to 90°, in order of falling intensity:
- 41.68 deg, d = 2.167 Å, I = 100
- 32.38 deg, d = 2.765 Å, I = 75
- 48.78 deg, d = 1.867 Å, I = 65
- 52.10 deg, d = 1.756 Å, I = 44
- 23.17 deg, d = 3.838 Å, I = 44
- 24.87 deg, d = 3.580 Å, I = 31
- 31.81 deg, d = 2.813 Å, I = 28
- 28.99 deg, d = 3.080 Å, I = 24
- 77.58 deg, d = 1.231 Å, I = 20
- 53.08 deg, d = 1.725 Å, I = 20
- 42.79 deg, d = 2.113 Å, I = 20
- 79.03 deg, d = 1.212 Å, I = 18

Atomic structure:
Unit cell a=6.0434 b=6.9018 c=7.1600 alpha=90.00 beta=90.00 gamma=90.00
Sites, in units of the cell vectors:
Cu: 0.0679 0.1072 0.1460
Cu: 0.0679 0.3928 0.6460
Cu: 0.4321 0.6072 0.1460
Cu: 0.4321 0.8928 0.6460
Cu: 0.5679 0.1072 0.3540
Cu: 0.5679 0.3928 0.8540
Cu: 0.9321 0.6072 0.3540
Cu: 0.9321 0.8928 0.8540
Se: 0.2461 0.1456 0.8351
Se: 0.2461 0.3544 0.3351
Se: 0.2539 0.6456 0.8351
Se: 0.2539 0.8544 0.3351
Se: 0.7461 0.1456 0.6649
Se: 0.7461 0.3544 0.1649
Se: 0.7539 0.6456 0.6649
Se: 0.7539 0.8544 0.1649

[3]
Starting from a DFT-relaxed cell (GGA-PBE, Alexandria), the powder X-ray diffraction pattern of Cu2Se was simulated for Cu Kα (λ = 1.5418 Å).

Principal peaks in the range 2θ from 10° to 90°, in order of falling intensity:
- 33.85 deg, d = 2.648 Å, I = 100
- 51.17 deg, d = 1.785 Å, I = 91
- 37.20 deg, d = 2.417 Å, I = 63
- 58.31 deg, d = 1.582 Å, I = 35
- 43.22 deg, d = 2.093 Å, I = 32
- 85.15 deg, d = 1.139 Å, I = 24
- 26.07 deg, d = 3.418 Å, I = 22
- 71.23 deg, d = 1.324 Å, I = 21
- 30.19 deg, d = 2.960 Å, I = 19
- 73.27 deg, d = 1.292 Å, I = 16
- 89.05 deg, d = 1.099 Å, I = 12
- 53.62 deg, d = 1.709 Å, I = 10

Atomic structure:
Unit cell a=5.9207 b=5.9207 c=5.9207 alpha=90.00 beta=90.00 gamma=90.00
Sites, in units of the cell vectors:
Cu: 0.1390 0.1390 0.1390
Cu: 0.1390 0.3610 0.6390
Cu: 0.3610 0.6390 0.1390
Cu: 0.3610 0.8610 0.6390
Cu: 0.6390 0.1390 0.3610
Cu: 0.6390 0.3610 0.8610
Cu: 0.8610 0.6390 0.3610
Cu: 0.8610 0.8610 0.8610
Se: 0.0000 0.0000 0.5000
Se: 0.0000 0.5000 0.0000
Se: 0.5000 0.0000 0.0000
Se: 0.5000 0.5000 0.5000

[4]
Starting from a DFT-relaxed cell (GGA-PBE, Alexandria), the powder X-ray diffraction pattern of CuSe was simulated for Cu Kα (λ = 1.5418 Å).

Principal peaks in the range 2θ from 10° to 90°, in order of falling intensity:
- 49.70 deg, d = 1.834 Å, I = 100
- 27.06 deg, d = 3.295 Å, I = 98
- 30.29 deg, d = 2.950 Å, I = 82
- 47.81 deg, d = 1.903 Å, I = 80
- 26.92 deg, d = 3.312 Å, I = 53
- 55.74 deg, d = 1.649 Å, I = 52
- 71.44 deg, d = 1.321 Å, I = 32
- 38.54 deg, d = 2.336 Å, I = 30
- 77.69 deg, d = 1.229 Å, I = 17
- 89.15 deg, d = 1.098 Å, I = 13
- 57.65 deg, d = 1.599 Å, I = 13
- 78.07 deg, d = 1.224 Å, I = 10

Atomic structure:
Unit cell a=3.8052 b=3.8052 c=6.6238 alpha=90.00 beta=90.00 gamma=120.00
Sites, in units of the cell vectors:
Cu: 0.3333 0.6667 0.0000
Cu: 0.6667 0.3333 0.5000
Se: 0.3333 0.6667 0.3589
Se: 0.6667 0.3333 0.8589